[1]
Li4Zn2Au3: simulated X-ray diffraction stick pattern (Cu Kα, 1.54184 Å), based on a crystal structure in Alexandria, relaxed with PBE.

Crystal structure
Cell: 6.387 6.387 6.364 Å, 109.55 109.55 34.80°
Fractional coordinates of all 9 atoms:
1 Li 0.046 0.046 0.333
2 Li 0.281 0.281 0.668
3 Li 0.719 0.719 0.332
4 Li 0.954 0.954 0.667
5 Zn 0.165 0.165 0.003
6 Zn 0.835 0.835 0.997
7 Au 0.378 0.378 0.333
8 Au 0.500 0.500 0.000
9 Au 0.622 0.622 0.667

Peak list (12 most intense, 15 to 90 degrees two-theta, low angle first)
| two_theta | d/Å | I (rel.) |
| --- | --- | --- |
| 17.34 | 5.114 | 29 |
| 24.57 | 3.623 | 94 |
| 25.10 | 3.547 | 57 |
| 27.35 | 3.261 | 28 |
| 28.52 | 3.130 | 43 |
| 39.09 | 2.304 | 100 |
| 39.98 | 2.255 | 94 |
| 44.08 | 2.054 | 32 |
| 44.63 | 2.030 | 32 |
| 45.66 | 1.987 | 37 |
| 47.60 | 1.910 | 29 |
| 68.09 | 1.377 | 23 |

[2]
Zn3As2H8O12: simulated X-ray diffraction stick pattern (Cu Kα, 1.54184 Å), based on a crystal structure in Alexandria, relaxed with PBE.

Crystal structure
Cell: 5.526 6.070 7.702 Å, 93.07 95.72 90.52°
Fractional coordinates of all 25 atoms:
1 Zn 0.000 0.000 0.000
2 Zn 0.311 0.241 0.401
3 Zn 0.689 0.759 0.599
4 As 0.164 0.739 0.370
5 As 0.836 0.261 0.630
6 H 0.247 0.394 0.037
7 H 0.253 0.777 0.773
8 H 0.257 0.301 0.837
9 H 0.401 0.777 0.962
10 H 0.599 0.223 0.038
11 H 0.743 0.699 0.163
12 H 0.747 0.223 0.227
13 H 0.753 0.606 0.963
14 O 0.141 0.302 0.610
15 O 0.192 0.972 0.250
16 O 0.234 0.770 0.901
17 O 0.274 0.260 0.962
18 O 0.274 0.512 0.263
19 O 0.332 0.800 0.568
20 O 0.668 0.200 0.432
21 O 0.726 0.488 0.737
22 O 0.726 0.740 0.038
23 O 0.766 0.230 0.099
24 O 0.808 0.028 0.750
25 O 0.859 0.698 0.390

Peak list (12 most intense, 15 to 90 degrees two-theta, low angle first)
| two_theta | d/Å | I (rel.) |
| --- | --- | --- |
| 16.12 | 5.498 | 31 |
| 18.91 | 4.694 | 100 |
| 24.23 | 3.674 | 38 |
| 26.04 | 3.422 | 37 |
| 27.02 | 3.300 | 45 |
| 29.47 | 3.031 | 53 |
| 29.76 | 3.002 | 55 |
| 31.14 | 2.872 | 57 |
| 32.59 | 2.748 | 71 |
| 35.18 | 2.551 | 27 |
| 39.60 | 2.276 | 38 |
| 41.22 | 2.190 | 41 |

[3]
Ac5Ta2S12: simulated X-ray diffraction stick pattern (Cu Kα, 1.54184 Å), based on a crystal structure in Alexandria, relaxed with PBE.

Crystal structure
Cell: 8.853 8.853 9.471 Å, 105.77 105.77 48.61°
Fractional coordinates of all 19 atoms:
1 Ac 0.000 0.000 0.000
2 Ac 0.305 0.305 0.147
3 Ac 0.314 0.314 0.665
4 Ac 0.686 0.686 0.335
5 Ac 0.695 0.695 0.853
6 Ta 0.236 0.764 0.500
7 Ta 0.764 0.236 0.500
8 S 0.001 0.001 0.683
9 S 0.093 0.590 0.422
10 S 0.099 0.598 0.925
11 S 0.402 0.901 0.075
12 S 0.410 0.907 0.578
13 S 0.498 0.498 0.318
14 S 0.502 0.502 0.682
15 S 0.590 0.093 0.422
16 S 0.598 0.099 0.925
17 S 0.901 0.402 0.075
18 S 0.907 0.410 0.578
19 S 0.999 0.999 0.317

Peak list (12 most intense, 15 to 90 degrees two-theta, low angle first)
| two_theta | d/Å | I (rel.) |
| --- | --- | --- |
| 21.17 | 4.197 | 98 |
| 22.39 | 3.971 | 100 |
| 25.23 | 3.530 | 18 |
| 25.52 | 3.490 | 32 |
| 25.65 | 3.472 | 28 |
| 31.52 | 2.838 | 44 |
| 34.95 | 2.567 | 28 |
| 35.67 | 2.517 | 33 |
| 38.00 | 2.368 | 29 |
| 41.80 | 2.161 | 29 |
| 42.88 | 2.109 | 25 |
| 50.06 | 1.822 | 19 |

[4]
Re3As7: simulated X-ray diffraction stick pattern (Cu Kα, 1.54184 Å), based on a crystal structure in Alexandria, relaxed with PBE.

Crystal structure
Cell: 7.667 7.667 7.667 Å, 109.47 109.47 109.47°
Fractional coordinates of all 20 atoms:
1 Re 0.000 0.340 0.340
2 Re 0.000 0.660 0.660
3 Re 0.340 0.000 0.340
4 Re 0.340 0.340 0.000
5 Re 0.660 0.000 0.660
6 Re 0.660 0.660 0.000
7 As 0.000 0.000 0.332
8 As 0.000 0.000 0.668
9 As 0.000 0.332 0.000
10 As 0.000 0.668 0.000
11 As 0.250 0.500 0.750
12 As 0.250 0.750 0.500
13 As 0.332 0.000 0.000
14 As 0.332 0.332 0.332
15 As 0.500 0.250 0.750
16 As 0.500 0.750 0.250
17 As 0.668 0.000 0.000
18 As 0.668 0.668 0.668
19 As 0.750 0.250 0.500
20 As 0.750 0.500 0.250

Peak list (12 most intense, 15 to 90 degrees two-theta, low angle first)
| two_theta | d/Å | I (rel.) |
| --- | --- | --- |
| 20.06 | 4.427 | 17 |
| 24.63 | 3.614 | 50 |
| 35.11 | 2.556 | 31 |
| 38.03 | 2.366 | 15 |
| 40.77 | 2.213 | 6 |
| 43.36 | 2.087 | 100 |
| 48.21 | 1.888 | 7 |
| 50.50 | 1.807 | 20 |
| 56.97 | 1.616 | 7 |
| 62.99 | 1.476 | 20 |
| 68.71 | 1.366 | 16 |
| 79.56 | 1.205 | 36 |

[5]
NpBSe3: simulated X-ray diffraction stick pattern (Cu Kα, 1.54184 Å), based on a crystal structure in Alexandria, relaxed with PBE.

Crystal structure
Cell: 8.828 8.828 8.828 Å, 67.53 133.37 134.06°
Fractional coordinates of all 10 atoms:
1 Np 0.063 0.250 0.313
2 Np 0.937 0.750 0.687
3 B 0.399 0.182 0.717
4 B 0.465 0.682 0.283
5 Se 0.186 0.193 0.723
6 Se 0.186 0.963 0.493
7 Se 0.470 0.463 0.277
8 Se 0.470 0.693 0.507
9 Se 0.474 0.888 0.086
10 Se 0.802 0.388 0.914

Peak list (12 most intense, 15 to 90 degrees two-theta, low angle first)
| two_theta | d/Å | I (rel.) |
| --- | --- | --- |
| 18.08 | 4.906 | 53 |
| 21.79 | 4.079 | 100 |
| 28.62 | 3.119 | 42 |
| 29.30 | 3.048 | 80 |
| 29.54 | 3.024 | 39 |
| 30.42 | 2.938 | 95 |
| 34.11 | 2.628 | 69 |
| 35.75 | 2.512 | 67 |
| 41.24 | 2.189 | 28 |
| 41.38 | 2.182 | 39 |
| 42.30 | 2.137 | 49 |
| 43.26 | 2.091 | 39 |

[6]
MoW3: simulated X-ray diffraction stick pattern (Cu Kα, 1.54184 Å), based on a crystal structure in Alexandria, relaxed with PBE.

Crystal structure
Cell: 2.749 4.495 5.282 Å, 90.00 99.91 90.00°
Fractional coordinates of all 4 atoms:
1 Mo 0.000 0.000 0.000
2 W 0.248 0.500 0.750
3 W 0.500 0.000 0.500
4 W 0.752 0.500 0.250

Peak list (12 most intense, 15 to 90 degrees two-theta, low angle first)
| two_theta | d/Å | I (rel.) |
| --- | --- | --- |
| 17.04 | 5.204 | 3 |
| 19.75 | 4.495 | 2 |
| 26.20 | 3.402 | 2 |
| 40.07 | 2.250 | 100 |
| 40.17 | 2.245 | 50 |
| 58.01 | 1.590 | 26 |
| 72.71 | 1.300 | 13 |
| 72.88 | 1.298 | 26 |
| 72.99 | 1.296 | 13 |
| 86.43 | 1.126 | 6 |
| 86.60 | 1.124 | 6 |
| 86.75 | 1.123 | 6 |

[7]
HoGaHg: simulated X-ray diffraction stick pattern (Cu Kα, 1.54184 Å), based on a crystal structure in Alexandria, relaxed with PBE.

Crystal structure
Cell: 5.845 5.845 7.238 Å, 126.84 126.84 45.41°
Fractional coordinates of all 6 atoms:
1 Ho 0.044 0.044 0.294
2 Ho 0.956 0.956 0.706
3 Ga 0.346 0.346 0.339
4 Ga 0.654 0.654 0.661
5 Hg 0.328 0.328 0.899
6 Hg 0.672 0.672 0.101

Peak list (12 most intense, 15 to 90 degrees two-theta, low angle first)
| two_theta | d/Å | I (rel.) |
| --- | --- | --- |
| 23.24 | 3.828 | 18 |
| 32.24 | 2.777 | 39 |
| 33.35 | 2.687 | 100 |
| 33.50 | 2.675 | 42 |
| 34.78 | 2.580 | 16 |
| 38.54 | 2.336 | 74 |
| 39.97 | 2.256 | 38 |
| 53.11 | 1.724 | 23 |
| 56.21 | 1.636 | 14 |
| 63.86 | 1.458 | 14 |
| 68.40 | 1.372 | 13 |
| 71.65 | 1.317 | 18 |

[8]
Cs2I3Br6: simulated X-ray diffraction stick pattern (Cu Kα, 1.54184 Å), based on a crystal structure in Alexandria, relaxed with PBE.

Crystal structure
Cell: 8.995 8.995 18.153 Å, 108.58 108.58 49.87°
Fractional coordinates of all 22 atoms:
1 Cs 0.117 0.656 0.929
2 Cs 0.344 0.883 0.571
3 Cs 0.656 0.117 0.429
4 Cs 0.883 0.344 0.071
5 I 0.085 0.915 0.750
6 I 0.222 0.508 0.254
7 I 0.492 0.778 0.246
8 I 0.508 0.222 0.754
9 I 0.778 0.492 0.746
10 I 0.915 0.085 0.250
11 Br 0.011 0.186 0.404
12 Br 0.171 0.609 0.407
13 Br 0.186 0.011 0.904
14 Br 0.266 0.407 0.101
15 Br 0.391 0.829 0.093
16 Br 0.407 0.266 0.601
17 Br 0.593 0.734 0.399
18 Br 0.609 0.171 0.907
19 Br 0.734 0.593 0.899
20 Br 0.814 0.989 0.096
21 Br 0.829 0.391 0.593
22 Br 0.989 0.814 0.596

Peak list (12 most intense, 15 to 90 degrees two-theta, low angle first)
| two_theta | d/Å | I (rel.) |
| --- | --- | --- |
| 20.08 | 4.422 | 39 |
| 20.56 | 4.321 | 51 |
| 21.02 | 4.227 | 50 |
| 22.27 | 3.992 | 43 |
| 23.30 | 3.818 | 90 |
| 24.04 | 3.701 | 100 |
| 26.70 | 3.339 | 82 |
| 29.81 | 2.997 | 54 |
| 31.59 | 2.833 | 79 |
| 32.05 | 2.792 | 29 |
| 36.35 | 2.471 | 32 |
| 44.30 | 2.045 | 24 |

[9]
AcPrGe: simulated X-ray diffraction stick pattern (Cu Kα, 1.54184 Å), based on a crystal structure in Alexandria, relaxed with PBE.

Crystal structure
Cell: 8.398 8.398 4.614 Å, 90.00 90.00 120.00°
Fractional coordinates of all 9 atoms:
1 Ac 0.000 0.411 0.000
2 Ac 0.411 0.000 0.000
3 Ac 0.589 0.589 0.000
4 Pr 0.000 0.742 0.500
5 Pr 0.258 0.258 0.500
6 Pr 0.742 0.000 0.500
7 Ge 0.000 0.000 0.000
8 Ge 0.333 0.667 0.500
9 Ge 0.667 0.333 0.500

Peak list (12 most intense, 15 to 90 degrees two-theta, low angle first)
| two_theta | d/Å | I (rel.) |
| --- | --- | --- |
| 21.16 | 4.199 | 11 |
| 28.75 | 3.106 | 100 |
| 31.32 | 2.856 | 71 |
| 32.57 | 2.749 | 46 |
| 37.08 | 2.424 | 20 |
| 39.05 | 2.307 | 23 |
| 44.94 | 2.017 | 17 |
| 49.30 | 1.848 | 27 |
| 51.73 | 1.767 | 25 |
| 54.96 | 1.671 | 16 |
| 58.85 | 1.569 | 25 |
| 61.02 | 1.519 | 14 |

[10]
Pm3Er2Tm: simulated X-ray diffraction stick pattern (Cu Kα, 1.54184 Å), based on a crystal structure in Alexandria, relaxed with PBE.

Crystal structure
Cell: 8.756 3.581 12.365 Å, 90.00 90.05 90.00°
Fractional coordinates of all 12 atoms:
1 Pm 0.170 0.250 0.289
2 Pm 0.170 0.250 0.794
3 Pm 0.172 0.750 0.542
4 Pm 0.828 0.250 0.458
5 Pm 0.830 0.750 0.206
6 Pm 0.830 0.750 0.711
7 Er 0.169 0.750 0.041
8 Er 0.499 0.250 0.124
9 Er 0.501 0.750 0.876
10 Er 0.831 0.250 0.959
11 Tm 0.499 0.750 0.374
12 Tm 0.501 0.250 0.626

Peak list (12 most intense, 15 to 90 degrees two-theta, low angle first)
| two_theta | d/Å | I (rel.) |
| --- | --- | --- |
| 30.63 | 2.919 | 100 |
| 35.51 | 2.528 | 51 |
| 51.08 | 1.788 | 24 |
| 51.14 | 1.786 | 12 |
| 60.73 | 1.525 | 29 |
| 60.83 | 1.523 | 14 |
| 63.74 | 1.460 | 9 |
| 63.85 | 1.458 | 3 |
| 75.11 | 1.265 | 4 |
| 83.32 | 1.160 | 12 |
| 85.88 | 1.132 | 6 |
| 86.02 | 1.130 | 8 |

[11]
Ce2InHgIr: simulated X-ray diffraction stick pattern (Cu Kα, 1.54184 Å), based on a crystal structure in Alexandria, relaxed with PBE.

Crystal structure
Cell: 8.086 4.141 8.166 Å, 90.00 109.27 90.00°
Fractional coordinates of all 10 atoms:
1 Ce 0.011 0.250 0.212
2 Ce 0.337 0.750 0.606
3 Ce 0.663 0.250 0.394
4 Ce 0.989 0.750 0.788
5 In 0.324 0.750 0.197
6 In 0.676 0.250 0.803
7 Hg 0.343 0.250 0.947
8 Hg 0.657 0.750 0.053
9 Ir 0.101 0.250 0.611
10 Ir 0.899 0.750 0.389

Peak list (12 most intense, 15 to 90 degrees two-theta, low angle first)
| two_theta | d/Å | I (rel.) |
| --- | --- | --- |
| 28.72 | 3.108 | 20 |
| 29.20 | 3.059 | 27 |
| 31.16 | 2.870 | 100 |
| 32.90 | 2.722 | 35 |
| 34.67 | 2.587 | 54 |
| 35.27 | 2.544 | 38 |
| 36.52 | 2.460 | 80 |
| 39.62 | 2.275 | 33 |
| 41.66 | 2.168 | 30 |
| 43.72 | 2.070 | 44 |
| 49.19 | 1.852 | 22 |
| 57.38 | 1.606 | 19 |

[12]
Ho2TmS4: simulated X-ray diffraction stick pattern (Cu Kα, 1.54184 Å), based on a crystal structure in Alexandria, relaxed with PBE.

Crystal structure
Cell: 7.715 7.715 7.715 Å, 119.49 119.36 91.00°
Fractional coordinates of all 14 atoms:
1 Ho 0.000 0.000 0.000
2 Ho 0.500 0.000 0.000
3 Ho 0.500 0.000 0.500
4 Ho 0.500 0.500 0.500
5 Tm 0.000 0.000 0.500
6 Tm 0.000 0.500 0.000
7 S 0.245 0.747 0.498
8 S 0.249 0.242 0.494
9 S 0.249 0.755 0.006
10 S 0.251 0.253 0.998
11 S 0.749 0.747 0.002
12 S 0.751 0.245 0.994
13 S 0.751 0.758 0.506
14 S 0.755 0.253 0.502

Peak list (12 most intense, 15 to 90 degrees two-theta, low angle first)
| two_theta | d/Å | I (rel.) |
| --- | --- | --- |
| 16.39 | 5.407 | 19 |
| 22.86 | 3.891 | 17 |
| 26.90 | 3.315 | 21 |
| 28.26 | 3.158 | 93 |
| 32.54 | 2.751 | 100 |
| 33.13 | 2.704 | 48 |
| 46.69 | 1.945 | 36 |
| 47.13 | 1.928 | 70 |
| 55.47 | 1.656 | 31 |
| 58.44 | 1.579 | 36 |
| 77.92 | 1.226 | 16 |
| 78.90 | 1.213 | 15 |